# TaWN3
Computed powder XRD pattern, Cu Kα (weighted mean of Kα1 and Kα2). Input: the GGA-PBE geometry in the Materials Project.
No peak broadening, texture or thermal motion is included.

Cell and atoms:
a = 5.8851 Å, b = 7.8860 Å, c = 8.3494 Å
α = 107.80°, β = 109.34°, γ = 103.91°
Sites, in units of the cell vectors:
Ta  0.0312  0.1751  0.4435
Ta  0.1221  0.3452  0.8825
Ta  0.8779  0.6548  0.1175
Ta  0.9688  0.8249  0.5565
W  0.2382  0.4773  0.2983
W  0.2750  0.5833  0.7224
W  0.7250  0.4167  0.2776
W  0.7618  0.5227  0.7017
N  0.0095  0.1001  0.6690
N  0.0801  0.7568  0.7810
N  0.1430  0.6416  0.4693
N  0.2073  0.6085  0.1422
N  0.3680  0.3759  0.5394
N  0.3835  0.3187  0.0941
N  0.6165  0.6813  0.9059
N  0.6320  0.6241  0.4606
N  0.7927  0.3915  0.8578
N  0.8570  0.3584  0.5307
N  0.9199  0.2432  0.2190
N  0.9905  0.8999  0.3310

Peak list (10 most intense, 10° ≤ 2θ ≤ 90°, in order of rising 2θ)
two_theta	d/Å	I/Imax
12.75	6.944	100
17.27	5.136	34
28.48	3.134	20
31.67	2.825	15
32.24	2.777	30
32.66	2.742	29
34.66	2.588	15
35.37	2.537	17
35.62	2.520	31
40.04	2.252	17